1.
Diffraction record for CaCdCoP. The powder XRD pattern is calculated, not measured: it uses a cell relaxed with PBE and a wavelength of 1.5418 Å.

Crystal structure
Cell lengths 3.8938, 3.8938, 10.7337 Å; angles 90.00, 90.00, 90.00 degrees
Element x y z (fractional)
Ca  0.2500  0.2500  0.2211
Ca  0.7500  0.7500  0.7789
Cd  0.2500  0.7500  0.5000
Cd  0.7500  0.2500  0.5000
Co  0.2500  0.7500  0.0000
Co  0.7500  0.2500  0.0000
P  0.2500  0.2500  0.8939
P  0.7500  0.7500  0.1061

Most intense lines, 10 to 90 degrees two-theta, by intensity:
36.68 deg, I = 1000; 16.52 deg, I = 874; 46.65 deg, I = 346; 47.30 deg, I = 321; 33.39 deg, I = 244; 61.85 deg, I = 213; 33.60 deg, I = 207; 49.82 deg, I = 194; 79.94 deg, I = 182; 58.58 deg, I = 179

***

2.
Diffraction record for Ca3Ge4. The powder XRD pattern is calculated, not measured: it uses a cell relaxed with PBE and a wavelength of 1.5418 Å.

Crystal structure
Cell lengths 9.7897, 9.7897, 9.7897 Å; angles 155.98, 153.28, 36.23 degrees
Element x y z (fractional)
Ca  0.0000  0.0000  0.0000
Ca  0.1824  0.6824  0.5000
Ca  0.8176  0.3176  0.5000
Ge  0.3476  0.8476  0.5000
Ge  0.4307  0.4307  0.0000
Ge  0.5693  0.5693  0.0000
Ge  0.6524  0.1524  0.5000

Most intense lines, 10 to 90 degrees two-theta, by intensity:
31.08 deg, I = 1000; 41.69 deg, I = 463; 20.20 deg, I = 383; 40.52 deg, I = 360; 58.15 deg, I = 292; 39.85 deg, I = 291; 44.48 deg, I = 239; 35.37 deg, I = 184; 61.23 deg, I = 155; 73.57 deg, I = 139

***

3.
Diffraction record for CeSnTe3. The powder XRD pattern is calculated, not measured: it uses a cell relaxed with PBE and a wavelength of 1.5418 Å.

Crystal structure
Cell lengths 8.7540, 4.3116, 16.9517 Å; angles 90.00, 90.00, 90.00 degrees
Element x y z (fractional)
Ce  0.1348  0.2500  0.2028
Ce  0.3652  0.7500  0.7028
Ce  0.6348  0.2500  0.2972
Ce  0.8652  0.7500  0.7972
Sn  0.1951  0.7500  0.4523
Sn  0.3049  0.2500  0.9523
Sn  0.6951  0.7500  0.0477
Sn  0.8049  0.2500  0.5477
Te  0.0091  0.7500  0.6194
Te  0.1338  0.7500  0.0668
Te  0.1515  0.2500  0.7866
Te  0.3485  0.7500  0.2866
Te  0.3662  0.2500  0.5668
Te  0.4909  0.2500  0.1194
Te  0.5091  0.7500  0.8806
Te  0.6338  0.7500  0.4332
Te  0.6515  0.2500  0.7134
Te  0.8485  0.7500  0.2134
Te  0.8662  0.2500  0.9332
Te  0.9909  0.2500  0.3806

Most intense lines, 10 to 90 degrees two-theta, by intensity:
30.97 deg, I = 1000; 33.63 deg, I = 340; 41.91 deg, I = 325; 35.20 deg, I = 317; 25.31 deg, I = 255; 28.23 deg, I = 218; 34.60 deg, I = 211; 25.75 deg, I = 173; 29.56 deg, I = 165; 33.20 deg, I = 162

***

4.
Diffraction record for Sn2Pd2Au. The powder XRD pattern is calculated, not measured: it uses a cell relaxed with PBE and a wavelength of 1.5418 Å.

Crystal structure
Cell lengths 4.5063, 4.5063, 5.7208 Å; angles 90.00, 90.00, 120.00 degrees
Element x y z (fractional)
Sn  0.0000  0.0000  0.0000
Sn  0.3333  0.6667  0.4221
Pd  0.0000  0.0000  0.5128
Pd  0.6667  0.3333  0.2422
Au  0.6667  0.3333  0.7567

Most intense lines, 10 to 90 degrees two-theta, by intensity:
39.04 deg, I = 1000; 40.02 deg, I = 855; 72.04 deg, I = 335; 57.14 deg, I = 331; 27.67 deg, I = 316; 22.79 deg, I = 220; 72.69 deg, I = 151; 79.35 deg, I = 128; 86.36 deg, I = 100; 65.30 deg, I = 99

***

5.
Diffraction record for La2Tb6Tm5. The powder XRD pattern is calculated, not measured: it uses a cell relaxed with PBE and a wavelength of 1.5418 Å.

Crystal structure
Cell lengths 12.6052, 12.8113, 5.2474 Å; angles 90.00, 90.00, 90.00 degrees
Element x y z (fractional)
La  0.0891  0.1938  0.0000
La  0.4109  0.6938  0.0000
La  0.5891  0.3062  0.0000
La  0.9109  0.8062  0.0000
Tb  0.0960  0.5988  0.0000
Tb  0.1942  0.9168  0.0000
Tb  0.2286  0.0974  0.5000
Tb  0.2714  0.5974  0.5000
Tb  0.3058  0.4168  0.0000
Tb  0.4040  0.0988  0.0000
Tb  0.5960  0.9012  0.0000
Tb  0.6942  0.5832  0.0000
Tb  0.7286  0.4026  0.5000
Tb  0.7714  0.9026  0.5000
Tb  0.8058  0.0832  0.0000
Tb  0.9040  0.4012  0.0000
Tm  0.0000  0.0000  0.5000
Tm  0.1002  0.7746  0.5000
Tm  0.1082  0.3921  0.5000
Tm  0.3918  0.8921  0.5000
Tm  0.3998  0.2746  0.5000
Tm  0.5000  0.5000  0.5000
Tm  0.6002  0.7254  0.5000
Tm  0.6082  0.1079  0.5000
Tm  0.8918  0.6079  0.5000
Tm  0.8998  0.2254  0.5000

Most intense lines, 10 to 90 degrees two-theta, by intensity:
30.49 deg, I = 1000; 30.62 deg, I = 984; 34.18 deg, I = 489; 50.77 deg, I = 291; 35.77 deg, I = 245; 36.32 deg, I = 182; 58.91 deg, I = 162; 62.66 deg, I = 161; 58.99 deg, I = 154; 50.30 deg, I = 149

***

6.
Diffraction record for Ce3AgIr8. The powder XRD pattern is calculated, not measured: it uses a cell relaxed with PBE and a wavelength of 1.5418 Å.

Crystal structure
Cell lengths 9.2896, 9.2896, 9.2896 Å; angles 33.53, 33.53, 33.53 degrees
Element x y z (fractional)
Ce  0.0000  0.0000  0.0000
Ce  0.1282  0.1282  0.1282
Ce  0.6163  0.6163  0.6163
Ag  0.4944  0.4944  0.4944
Ir  0.0596  0.0596  0.5633
Ir  0.0603  0.5606  0.5606
Ir  0.0596  0.5633  0.0596
Ir  0.3107  0.3107  0.3107
Ir  0.5606  0.0603  0.5606
Ir  0.5606  0.5606  0.0603
Ir  0.5633  0.0596  0.0596
Ir  0.8107  0.8107  0.8107

Most intense lines, 10 to 90 degrees two-theta, by intensity:
39.42 deg, I = 1000; 41.25 deg, I = 534; 63.80 deg, I = 320; 70.24 deg, I = 296; 84.84 deg, I = 209; 20.29 deg, I = 203; 33.43 deg, I = 170; 48.00 deg, I = 114; 83.65 deg, I = 113; 59.76 deg, I = 59

***

Copy entry 1 word for word.
Diffraction record for CaCdCoP. The powder XRD pattern is calculated, not measured: it uses a cell relaxed with PBE and a wavelength of 1.5418 Å.

Crystal structure
Cell lengths 3.8938, 3.8938, 10.7337 Å; angles 90.00, 90.00, 90.00 degrees
Element x y z (fractional)
Ca  0.2500  0.2500  0.2211
Ca  0.7500  0.7500  0.7789
Cd  0.2500  0.7500  0.5000
Cd  0.7500  0.2500  0.5000
Co  0.2500  0.7500  0.0000
Co  0.7500  0.2500  0.0000
P  0.2500  0.2500  0.8939
P  0.7500  0.7500  0.1061

Most intense lines, 10 to 90 degrees two-theta, by intensity:
36.68 deg, I = 1000; 16.52 deg, I = 874; 46.65 deg, I = 346; 47.30 deg, I = 321; 33.39 deg, I = 244; 61.85 deg, I = 213; 33.60 deg, I = 207; 49.82 deg, I = 194; 79.94 deg, I = 182; 58.58 deg, I = 179